Record 1
This entry pairs a crystal structure of Ba2MgOsO6 with its theoretical PXRD pattern. Radiation: Cu Kα. Structure: the PBE geometry in the Materials Project.
Peak positions follow from Bragg's law for the DFT cell and can differ from measured ones.

Most intense lines, 10 to 90 degrees two-theta, by angle:
18.80 deg, I = 32, hkl 1 1 1
30.94 deg, I = 100, hkl 2 2 0
36.45 deg, I = 17, hkl 3 1 1
44.32 deg, I = 31, hkl 4 0 0
48.54 deg, I = 7, hkl 3 3 1
55.03 deg, I = 40, hkl 4 2 2
64.48 deg, I = 19, hkl 4 4 0
73.23 deg, I = 18, hkl 6 2 0
81.59 deg, I = 6, hkl 4 4 4
89.77 deg, I = 22, hkl 6 4 2

Atomic structure:
Unit cell a=8.1749 b=8.1749 c=8.1749 alpha=90.00 beta=90.00 gamma=90.00
Space group Fm-3m (No. 225)
Unique sites:
Ba1 0.2500 0.2500 0.2500 x8
Mg1 0.0000 0.0000 0.0000 x4
Os1 0.0000 0.0000 0.5000 x4
O1 0.0000 0.0000 0.2607 x24

Record 2
This entry pairs a crystal structure of Ba2TaBiO6 with its theoretical PXRD pattern. Radiation: Cu Kα. Structure: the PBE geometry in the Materials Project.
Peak positions follow from Bragg's law for the DFT cell and can differ from measured ones.

Most intense lines, 10 to 90 degrees two-theta, by angle:
28.96 deg, I = 33, hkl 2 0 -2
29.11 deg, I = 68, hkl 1 1 1
29.25 deg, I = 100, hkl 3 1 -1
41.63 deg, I = 36, hkl 2 2 -2
41.86 deg, I = 17, hkl 4 0 0
51.57 deg, I = 23, hkl 2 0 2
51.83 deg, I = 28, hkl 3 3 -1
51.88 deg, I = 21, hkl 4 2 0
60.67 deg, I = 17, hkl 0 4 0
83.87 deg, I = 15, hkl 9 1 -3

Atomic structure:
Unit cell a=10.5738 b=6.1067 c=6.1669 alpha=90.00 beta=125.28 gamma=90.00
Space group C2/m (No. 12)
Unique sites:
Ba1 0.2491 0.0000 0.2449 x4
Ta1 0.0000 0.5000 0.0000 x2
Bi1 0.0000 0.0000 0.5000 x2
O1 0.0329 0.2677 0.8053 x8
O2 0.2291 0.5000 0.2894 x4

Record 3
This entry pairs a crystal structure of Na5GeP3 with its theoretical PXRD pattern. Radiation: Cu Kα. Structure: the PBE geometry in the Materials Project.
Peak positions follow from Bragg's law for the DFT cell and can differ from measured ones.

Most intense lines, 10 to 90 degrees two-theta, by angle:
12.80 deg, I = 93, hkl 1 0 0
13.71 deg, I = 36, hkl 0 1 1
16.22 deg, I = 41, hkl 1 1 -1
31.58 deg, I = 39, hkl 0 2 3
32.31 deg, I = 58, hkl 2 1 1
32.43 deg, I = 59, hkl 2 1 -5
33.51 deg, I = 100, hkl 1 2 -4
38.13 deg, I = 61, hkl 1 3 -1
39.05 deg, I = 37, hkl 3 0 0
40.99 deg, I = 66, hkl 0 0 6

Atomic structure:
Unit cell a=8.1045 b=7.4015 c=15.4710 alpha=90.00 beta=121.37 gamma=90.00
Space group P2_1/c (No. 14)
Unique sites:
Na1 0.0637 0.0066 0.2421 x4
Na2 0.2518 0.5338 0.5843 x4
Na3 0.3329 0.6488 0.2581 x4
Na4 0.3410 0.1628 0.9186 x4
Na5 0.4140 0.0187 0.5869 x4
Ge1 0.0149 0.1424 0.5862 x4
P1 0.0219 0.1864 0.4334 x4
P2 0.2622 0.7374 0.4191 x4
P3 0.3123 0.2362 0.7266 x4

Record 4
This entry pairs a crystal structure of XeO2F2 with its theoretical PXRD pattern. Radiation: Cu Kα. Structure: the PBE geometry in the Materials Project.
Peak positions follow from Bragg's law for the DFT cell and can differ from measured ones.

Most intense lines, 10 to 90 degrees two-theta, by angle:
20.00 deg, I = 26, hkl 0 0 2
21.74 deg, I = 100, hkl 1 1 1
27.12 deg, I = 16, hkl 0 2 0
27.64 deg, I = 14, hkl 2 0 0
36.07 deg, I = 19, hkl 1 1 3
39.11 deg, I = 20, hkl 2 2 0
40.65 deg, I = 10, hkl 0 0 4
44.85 deg, I = 12, hkl 1 3 1
45.52 deg, I = 13, hkl 3 1 1
57.68 deg, I = 11, hkl 2 2 4

Atomic structure:
Unit cell a=6.4540 b=6.5760 c=8.8789 alpha=90.00 beta=90.00 gamma=90.00
Space group Cmcm (No. 63)
Unique sites:
Xe1 0.0000 0.2304 0.2500 x4
O1 0.2373 0.0698 0.2500 x8
F1 0.0000 0.2515 0.0199 x8

Record 5
This entry pairs a crystal structure of Ba3Ho2Cu2PtO10 with its theoretical PXRD pattern. Radiation: Cu Kα. Structure: the PBE geometry in the Materials Project.
Peak positions follow from Bragg's law for the DFT cell and can differ from measured ones.

Most intense lines, 10 to 90 degrees two-theta, by angle:
16.81 deg, I = 16, hkl 1 1 0
26.92 deg, I = 43, hkl 3 1 -1
28.30 deg, I = 34, hkl 1 1 -2
30.52 deg, I = 52, hkl 0 2 0
32.03 deg, I = 100, hkl 3 1 1
32.33 deg, I = 19, hkl 3 1 -2
39.34 deg, I = 16, hkl 1 1 -3
42.40 deg, I = 16, hkl 4 2 -1
55.21 deg, I = 28, hkl 3 3 1
66.99 deg, I = 16, hkl 6 2 2

Atomic structure:
Unit cell a=12.5866 b=5.8580 c=7.4855 alpha=90.00 beta=105.60 gamma=90.00
Space group C2/m (No. 12)
Unique sites:
Ba1 0.0000 0.0000 0.0000 x2
Ba2 0.1528 0.0000 0.5380 x4
Ho1 0.1888 0.5000 0.8743 x4
Cu1 0.0901 0.5000 0.1995 x4
Pt1 0.0000 0.5000 0.5000 x2
O1 0.0182 0.2799 0.7195 x8
O2 0.1673 0.5000 0.5519 x4
O3 0.1841 0.2707 0.1250 x8

Record 6
This entry pairs a crystal structure of Rb2LaAuCl6 with its theoretical PXRD pattern. Radiation: Cu Kα. Structure: the PBE geometry in the Materials Project.
Peak positions follow from Bragg's law for the DFT cell and can differ from measured ones.

Most intense lines, 10 to 90 degrees two-theta, by angle:
16.06 deg, I = 34, hkl 2 0 0
22.79 deg, I = 100, hkl 2 2 0
32.44 deg, I = 58, hkl 4 0 0
36.40 deg, I = 18, hkl 4 2 0
40.01 deg, I = 48, hkl 4 2 2
46.54 deg, I = 40, hkl 4 4 0
52.42 deg, I = 22, hkl 6 2 0
57.88 deg, I = 14, hkl 4 4 4
63.02 deg, I = 26, hkl 6 4 2
77.31 deg, I = 18, hkl 8 4 0

Atomic structure:
Unit cell a=11.0385 b=11.0385 c=11.0385 alpha=90.00 beta=90.00 gamma=90.00
Space group Fm-3m (No. 225)
Unique sites:
Rb1 0.2500 0.2500 0.2500 x8
La1 0.0000 0.0000 0.0000 x4
Au1 0.0000 0.0000 0.5000 x4
Cl1 0.0000 0.0000 0.2506 x24

Record 7
This entry pairs a crystal structure of Dy2Co7B3 with its theoretical PXRD pattern. Radiation: Cu Kα. Structure: the PBE geometry in the Materials Project.
Peak positions follow from Bragg's law for the DFT cell and can differ from measured ones.

Most intense lines, 10 to 90 degrees two-theta, by angle:
20.46 deg, I = 28, hkl 1 0 0
34.83 deg, I = 100, hkl 1 0 4
35.82 deg, I = 26, hkl 1 1 0
41.60 deg, I = 89, hkl 2 0 0
45.99 deg, I = 80, hkl 1 1 4
63.74 deg, I = 34, hkl 2 1 4
71.56 deg, I = 21, hkl 3 0 4
73.54 deg, I = 15, hkl 2 0 8
75.92 deg, I = 20, hkl 2 2 0
86.33 deg, I = 15, hkl 3 1 4

Atomic structure:
Unit cell a=5.0131 b=5.0131 c=12.7994 alpha=90.00 beta=90.00 gamma=120.00
Space group P6/mmm (No. 191)
Unique sites:
Dy1 0.0000 0.0000 0.0000 x1
Dy2 0.0000 0.0000 0.2395 x2
Dy3 0.0000 0.0000 0.5000 x1
Co1 0.0000 0.5000 0.1161 x6
Co2 0.0000 0.5000 0.3458 x6
Co3 0.3333 0.6667 0.5000 x2
B1 0.3333 0.6667 0.0000 x2
B2 0.3333 0.6667 0.2320 x4

Record 8
This entry pairs a crystal structure of UGePt with its theoretical PXRD pattern. Radiation: Cu Kα. Structure: the PBE geometry in the Materials Project.
Peak positions follow from Bragg's law for the DFT cell and can differ from measured ones.

Most intense lines, 10 to 90 degrees two-theta, by angle:
26.55 deg, I = 20, hkl 1 1 1
33.56 deg, I = 41, hkl 1 1 2
34.95 deg, I = 100, hkl 2 1 1
35.07 deg, I = 40, hkl 2 0 2
40.56 deg, I = 38, hkl 0 2 0
40.88 deg, I = 50, hkl 0 1 3
40.98 deg, I = 18, hkl 3 0 1
54.68 deg, I = 23, hkl 2 2 2
67.14 deg, I = 22, hkl 3 1 4
70.17 deg, I = 14, hkl 2 3 1

Atomic structure:
Unit cell a=6.9012 b=4.4484 c=7.6288 alpha=90.00 beta=90.00 gamma=90.00
Space group Pnma (No. 62)
Unique sites:
U1 0.0072 0.2500 0.2018 x4
Ge1 0.1963 0.2500 0.5899 x4
Pt1 0.2051 0.7500 0.4181 x4

Record 9
This entry pairs a crystal structure of CaEuHf4O12 with its theoretical PXRD pattern. Radiation: Cu Kα. Structure: the PBE geometry in the Materials Project.
Peak positions follow from Bragg's law for the DFT cell and can differ from measured ones.

Most intense lines, 10 to 90 degrees two-theta, by angle:
19.30 deg, I = 19, hkl 1 1 1
22.14 deg, I = 57, hkl 0 0 2
22.68 deg, I = 25, hkl 0 2 0
31.51 deg, I = 46, hkl 2 0 2
31.90 deg, I = 100, hkl 2 2 0
45.17 deg, I = 28, hkl 4 0 0
51.11 deg, I = 14, hkl 0 2 4
56.36 deg, I = 42, hkl 4 2 2
57.10 deg, I = 22, hkl 2 4 2
66.69 deg, I = 14, hkl 4 4 0

Atomic structure:
Unit cell a=8.0233 b=7.8409 c=8.0373 alpha=90.00 beta=90.00 gamma=90.00
Space group Amm2 (No. 38)
Unique sites:
Ca1 0.0000 0.0000 0.0000 x2
Eu1 0.5000 0.0000 0.5463 x2
Hf1 0.2507 0.2493 0.7678 x8
O1 0.0000 0.1948 0.7733 x4
O2 0.1961 0.0000 0.2139 x4
O3 0.2493 0.1976 0.5177 x8
O4 0.3038 0.0000 0.8222 x4
O5 0.5000 0.1946 0.2617 x4

Record 10
This entry pairs a crystal structure of GdCu4Pd with its theoretical PXRD pattern. Radiation: Cu Kα. Structure: the PBE geometry in the Materials Project.
Peak positions follow from Bragg's law for the DFT cell and can differ from measured ones.

Most intense lines, 10 to 90 degrees two-theta, by angle:
34.77 deg, I = 25, hkl 1 0 4
35.78 deg, I = 46, hkl 1 1 0
40.86 deg, I = 54, hkl 0 1 5
41.74 deg, I = 100, hkl 1 1 3
42.17 deg, I = 30, hkl 0 2 1
43.99 deg, I = 40, hkl 2 0 2
67.73 deg, I = 23, hkl 1 2 5
68.36 deg, I = 22, hkl 0 3 3
73.40 deg, I = 22, hkl 2 0 8
75.81 deg, I = 20, hkl 2 2 0

Atomic structure:
Unit cell a=5.0193 b=5.0193 c=12.8215 alpha=90.00 beta=90.00 gamma=120.00
Space group R3m (No. 160, hexagonal axes)
Unique sites:
Gd1 0.0000 0.0000 0.0000 x3
Cu1 0.0000 0.0000 0.2480 x3
Cu2 0.0012 0.5006 0.1269 x9
Pd1 0.0000 0.0000 0.6253 x3